Entry 1:
Theoretical PXRD pattern
Compound: Rb3Hg2Br2F5
Radiation: Cu Kα (weighted mean of Kα1 and Kα2)
Structure: DFT lattice parameters and positions (GGA-PBE)
Neutral-atom scattering factors, no anomalous dispersion.

Top 10 peaks for 2θ from 10° to 90°, sorted by position:
2θ/deg	intensity
14.0	28
18.8	39
25.6	37
26.2	100
30.9	79
37.4	57
43.6	19
49.3	43
53.9	19
60.9	20

Cell and atoms:
a b c (Å): 13.101 13.101 13.101
angles (deg): 158.85 158.85 30.09
Element x y z (fractional)
Rb  0.000  0.000  0.000
Rb  0.157  0.157  0.000
Rb  0.843  0.843  0.000
Hg  0.410  0.410  0.000
Hg  0.590  0.590  0.000
Br  0.306  0.306  0.000
Br  0.694  0.694  0.000
F  0.084  0.584  0.500
F  0.416  0.916  0.500
F  0.500  0.500  0.000
F  0.584  0.084  0.500
F  0.916  0.416  0.500

***

Entry 2:
Theoretical PXRD pattern
Compound: TlHgBr2F
Radiation: Cu Kα (weighted mean of Kα1 and Kα2)
Structure: DFT lattice parameters and positions (GGA-PBE)
Neutral-atom scattering factors, no anomalous dispersion.

Top 10 peaks for 2θ from 10° to 90°, sorted by position:
2θ/deg	intensity
11.1	59
20.0	31
22.3	26
27.1	100
29.0	61
30.6	49
30.9	39
33.4	35
43.1	29
50.6	31

Cell and atoms:
a b c (Å): 8.277 4.201 9.291
angles (deg): 90.00 105.71 90.00
Element x y z (fractional)
Tl  0.224  0.250  0.092
Tl  0.776  0.750  0.908
Hg  0.154  0.750  0.683
Hg  0.846  0.250  0.317
Br  0.116  0.750  0.378
Br  0.380  0.250  0.774
Br  0.620  0.750  0.226
Br  0.884  0.250  0.622
F  0.101  0.750  0.923
F  0.899  0.250  0.077

***

Entry 3:
Theoretical PXRD pattern
Compound: HoBr2F
Radiation: Cu Kα (weighted mean of Kα1 and Kα2)
Structure: DFT lattice parameters and positions (GGA-PBE)
Neutral-atom scattering factors, no anomalous dispersion.

Top 10 peaks for 2θ from 10° to 90°, sorted by position:
2θ/deg	intensity
12.3	74
21.4	100
28.6	77
32.5	28
38.2	24
39.3	60
41.7	17
49.1	15
49.6	22
51.3	30

Cell and atoms:
a b c (Å): 4.102 4.335 14.382
angles (deg): 90.00 90.00 90.00
Element x y z (fractional)
Ho  0.000  0.000  0.000
Ho  0.500  0.500  0.500
Br  0.000  0.500  0.366
Br  0.000  0.500  0.634
Br  0.500  0.000  0.134
Br  0.500  0.000  0.866
F  0.000  0.500  0.000
F  0.500  0.000  0.500

***

Entry 4:
Theoretical PXRD pattern
Compound: I2Br4F
Radiation: Cu Kα (weighted mean of Kα1 and Kα2)
Structure: DFT lattice parameters and positions (GGA-PBE)
Neutral-atom scattering factors, no anomalous dispersion.

Top 10 peaks for 2θ from 10° to 90°, sorted by position:
2θ/deg	intensity
16.4	30
18.2	34
18.7	32
19.6	33
20.6	27
21.5	26
21.9	100
28.6	23
33.1	23
44.6	32

Cell and atoms:
a b c (Å): 5.007 6.055 19.744
angles (deg): 81.95 85.68 83.16
Element x y z (fractional)
I  0.000  0.000  0.000
I  0.003  0.785  0.222
I  0.114  0.464  0.433
I  0.611  0.769  0.634
Br  0.137  0.408  0.940
Br  0.260  0.803  0.888
Br  0.282  0.416  0.301
Br  0.515  0.014  0.519
Br  0.656  0.120  0.702
Br  0.710  0.472  0.761
Br  0.741  0.165  0.106
Br  0.764  0.919  0.333
F  0.007  0.482  0.532
F  0.201  0.664  0.137

***

Entry 5:
Theoretical PXRD pattern
Compound: SmIBrF
Radiation: Cu Kα (weighted mean of Kα1 and Kα2)
Structure: DFT lattice parameters and positions (GGA-PBE)
Neutral-atom scattering factors, no anomalous dispersion.

Top 10 peaks for 2θ from 10° to 90°, sorted by position:
2θ/deg	intensity
10.9	100
25.1	26
25.9	39
28.9	59
31.0	82
36.0	60
43.7	54
45.1	22
54.5	16
64.4	31

Cell and atoms:
a b c (Å): 4.146 4.146 24.257
angles (deg): 90.00 90.00 120.00
Element x y z (fractional)
Sm  0.000  0.000  0.000
Sm  0.333  0.667  0.667
Sm  0.667  0.333  0.333
I  0.000  0.000  0.425
I  0.333  0.667  0.091
I  0.667  0.333  0.758
Br  0.000  0.000  0.254
Br  0.333  0.667  0.921
Br  0.667  0.333  0.588
F  0.000  0.000  0.666
F  0.333  0.667  0.333
F  0.667  0.333  0.000

***

Entry 6:
Theoretical PXRD pattern
Compound: Tl3IBrF
Radiation: Cu Kα (weighted mean of Kα1 and Kα2)
Structure: DFT lattice parameters and positions (GGA-PBE)
Neutral-atom scattering factors, no anomalous dispersion.

Top 10 peaks for 2θ from 10° to 90°, sorted by position:
2θ/deg	intensity
24.3	16
25.7	42
25.9	16
27.9	100
29.2	25
29.5	19
30.1	17
30.8	23
37.9	29
49.2	20

Cell and atoms:
a b c (Å): 8.835 4.743 10.472
angles (deg): 90.00 103.33 90.00
Element x y z (fractional)
Tl  0.005  0.250  0.341
Tl  0.189  0.750  0.053
Tl  0.489  0.250  0.302
Tl  0.511  0.750  0.698
Tl  0.811  0.250  0.947
Tl  0.995  0.750  0.659
I  0.280  0.250  0.809
I  0.720  0.750  0.191
Br  0.283  0.750  0.420
Br  0.717  0.250  0.580
F  0.066  0.250  0.118
F  0.934  0.750  0.882

***

Entry 7:
Theoretical PXRD pattern
Compound: In4Br3F
Radiation: Cu Kα (weighted mean of Kα1 and Kα2)
Structure: DFT lattice parameters and positions (GGA-PBE)
Neutral-atom scattering factors, no anomalous dispersion.

Top 10 peaks for 2θ from 10° to 90°, sorted by position:
2θ/deg	intensity
19.7	72
22.1	44
23.6	37
24.0	54
27.3	100
28.2	79
33.9	44
34.5	43
36.1	73
61.9	33

Cell and atoms:
a b c (Å): 10.850 8.041 6.535
angles (deg): 90.00 90.00 90.00
Element x y z (fractional)
In  0.000  0.088  0.000
In  0.000  0.723  0.412
In  0.187  0.721  0.955
In  0.313  0.279  0.455
In  0.500  0.277  0.912
In  0.500  0.912  0.500
In  0.687  0.279  0.455
In  0.813  0.721  0.955
Br  0.000  0.081  0.520
Br  0.205  0.342  0.021
Br  0.295  0.658  0.521
Br  0.500  0.919  0.020
Br  0.705  0.658  0.521
Br  0.795  0.342  0.021
F  0.000  0.674  0.761
F  0.500  0.326  0.261

***

Entry 8:
Theoretical PXRD pattern
Compound: InPbBr2F
Radiation: Cu Kα (weighted mean of Kα1 and Kα2)
Structure: DFT lattice parameters and positions (GGA-PBE)
Neutral-atom scattering factors, no anomalous dispersion.

Top 10 peaks for 2θ from 10° to 90°, sorted by position:
2θ/deg	intensity
15.0	25
23.7	33
23.8	33
24.9	100
31.3	67
31.4	66
31.9	33
37.7	36
40.0	50
44.2	29

Cell and atoms:
a b c (Å): 8.195 4.508 8.424
angles (deg): 90.00 90.39 90.00
Element x y z (fractional)
In  0.250  0.250  0.048
In  0.750  0.750  0.952
Pb  0.250  0.750  0.633
Pb  0.750  0.250  0.367
Br  0.002  0.250  0.702
Br  0.498  0.250  0.702
Br  0.502  0.750  0.298
Br  0.998  0.750  0.298
F  0.250  0.750  0.905
F  0.750  0.250  0.095

***

Entry 9:
Theoretical PXRD pattern
Compound: RbInBrF
Radiation: Cu Kα (weighted mean of Kα1 and Kα2)
Structure: DFT lattice parameters and positions (GGA-PBE)
Neutral-atom scattering factors, no anomalous dispersion.

Top 10 peaks for 2θ from 10° to 90°, sorted by position:
2θ/deg	intensity
15.9	32
19.5	34
26.5	71
32.8	100
36.7	24
39.9	16
42.7	20
53.1	22
54.8	19
58.6	23

Cell and atoms:
a b c (Å): 11.570 11.570 11.570
angles (deg): 27.30 27.30 27.30
Element x y z (fractional)
Rb  0.127  0.127  0.127
Rb  0.873  0.873  0.873
In  0.278  0.278  0.278
In  0.722  0.722  0.722
Br  0.407  0.407  0.407
Br  0.593  0.593  0.593
F  0.209  0.209  0.209
F  0.791  0.791  0.791

***

Entry 10:
Theoretical PXRD pattern
Compound: InSnBr2F
Radiation: Cu Kα (weighted mean of Kα1 and Kα2)
Structure: DFT lattice parameters and positions (GGA-PBE)
Neutral-atom scattering factors, no anomalous dispersion.

Top 10 peaks for 2θ from 10° to 90°, sorted by position:
2θ/deg	intensity
26.7	91
29.0	100
30.0	50
30.7	98
32.9	35
38.6	25
41.7	41
45.4	28
47.4	25
50.2	32

Cell and atoms:
a b c (Å): 8.299 4.332 9.022
angles (deg): 90.00 108.41 90.00
Element x y z (fractional)
In  0.192  0.250  0.399
In  0.808  0.750  0.601
Sn  0.346  0.750  0.824
Sn  0.654  0.250  0.176
Br  0.120  0.250  0.855
Br  0.456  0.750  0.287
Br  0.544  0.250  0.713
Br  0.880  0.750  0.145
F  0.195  0.750  0.588
F  0.805  0.250  0.412

***

Entry 11:
Theoretical PXRD pattern
Compound: Pr8Ir3Br4F
Radiation: Cu Kα (weighted mean of Kα1 and Kα2)
Structure: DFT lattice parameters and positions (GGA-PBE)
Neutral-atom scattering factors, no anomalous dispersion.

Top 10 peaks for 2θ from 10° to 90°, sorted by position:
2θ/deg	intensity
11.3	30
29.0	100
36.5	16
39.5	31
43.4	37
49.5	11
53.1	18
60.1	9
70.9	15
77.0	9

Cell and atoms:
a b c (Å): 8.336 8.336 9.211
angles (deg): 116.91 116.91 59.95
Element x y z (fractional)
Pr  0.222  0.738  0.698
Pr  0.232  0.232  0.695
Pr  0.261  0.261  0.301
Pr  0.262  0.778  0.302
Pr  0.738  0.222  0.698
Pr  0.739  0.739  0.699
Pr  0.768  0.768  0.305
Pr  0.778  0.262  0.302
Ir  0.000  0.000  0.500
Ir  0.000  0.500  0.500
Ir  0.500  0.000  0.500
Br  0.000  0.000  0.000
Br  0.000  0.500  0.000
Br  0.500  0.000  0.000
Br  0.500  0.500  0.000
F  0.500  0.500  0.500

***

Entry 12:
Theoretical PXRD pattern
Compound: Rb2IrBr6F
Radiation: Cu Kα (weighted mean of Kα1 and Kα2)
Structure: DFT lattice parameters and positions (GGA-PBE)
Neutral-atom scattering factors, no anomalous dispersion.

Top 10 peaks for 2θ from 10° to 90°, sorted by position:
2θ/deg	intensity
14.4	95
17.0	31
23.5	35
28.2	26
29.1	83
32.6	55
34.3	100
48.0	71
49.3	35
60.3	35

Cell and atoms:
a b c (Å): 7.586 7.586 7.586
angles (deg): 121.66 121.66 87.15
Element x y z (fractional)
Rb  0.250  0.750  0.500
Rb  0.750  0.250  0.500
Ir  0.000  0.000  0.000
Br  0.227  0.227  0.000
Br  0.240  0.240  0.480
Br  0.240  0.760  0.000
Br  0.760  0.240  0.000
Br  0.760  0.760  0.520
Br  0.773  0.773  0.000
F  0.500  0.500  0.000